(1)
For AcZn2CdAg8, a cell relaxed with PBE gives the theoretical X-ray diffraction stick pattern in this record (Cu Kα).
Kinematic intensities with the Lorentz-polarization factor, no thermal factor.

Structure:
a = 5.5464 Å, b = 5.5464 Å, c = 9.3070 Å
α = 102.64°, β = 102.64°, γ = 61.65°
Fractional coordinates of all 12 atoms:
Ac (0.0000, 0.0000, 0.0000)
Zn (0.4324, 0.4324, 0.7579)
Zn (0.5676, 0.5676, 0.2421)
Cd (0.5000, 0.5000, 0.5000)
Ag (0.0628, 0.5681, 0.2674)
Ag (0.1089, 0.1089, 0.4123)
Ag (0.3352, 0.3352, 0.0010)
Ag (0.4319, 0.9372, 0.7326)
Ag (0.5681, 0.0628, 0.2674)
Ag (0.6648, 0.6648, 0.9990)
Ag (0.8911, 0.8911, 0.5877)
Ag (0.9372, 0.4319, 0.7326)

Top 10 peaks for 5° ≤ 2θ ≤ 70°, low angle first:
- 2θ = 31.1°, I = 38
- 2θ = 32.4°, I = 61
- 2θ = 33.0°, I = 39
- 2θ = 36.8°, I = 52
- 2θ = 37.2°, I = 76
- 2θ = 37.4°, I = 100
- 2θ = 37.8°, I = 34
- 2θ = 39.6°, I = 73
- 2θ = 39.9°, I = 67
- 2θ = 40.1°, I = 43

=====

(2)
For Mg3GaPb, a cell relaxed with PBE gives the theoretical X-ray diffraction stick pattern in this record (Cu Kα).
Kinematic intensities with the Lorentz-polarization factor, no thermal factor.

Structure:
a = 4.5102 Å, b = 6.3972 Å, c = 8.4257 Å
α = 101.74°, β = 105.32°, γ = 90.23°
Fractional coordinates of all 10 atoms:
Mg (0.0000, 0.0000, 0.0000)
Mg (0.0081, 0.5023, 0.0148)
Mg (0.3938, 0.6957, 0.7876)
Mg (0.6130, 0.3117, 0.2231)
Mg (0.7877, 0.8771, 0.5740)
Mg (0.8034, 0.3914, 0.6042)
Ga (0.2017, 0.1103, 0.4016)
Ga (0.2073, 0.5686, 0.4144)
Pb (0.4053, 0.1997, 0.8087)
Pb (0.5959, 0.8043, 0.1904)

Top 10 peaks for 5° ≤ 2θ ≤ 70°, low angle first:
- 2θ = 16.1°, I = 38
- 2θ = 19.8°, I = 50
- 2θ = 20.5°, I = 58
- 2θ = 25.7°, I = 39
- 2θ = 34.3°, I = 51
- 2θ = 34.5°, I = 100
- 2θ = 34.6°, I = 49
- 2θ = 39.7°, I = 37
- 2θ = 40.0°, I = 34
- 2θ = 40.3°, I = 32

=====

(3)
For MgTaAl, a cell relaxed with PBE gives the theoretical X-ray diffraction stick pattern in this record (Cu Kα).
Kinematic intensities with the Lorentz-polarization factor, no thermal factor.

Structure:
a = 5.4733 Å, b = 5.4733 Å, c = 5.4733 Å
α = 149.68°, β = 138.86°, γ = 51.95°
Fractional coordinates of all 3 atoms:
Mg (0.0000, 0.0000, 0.0000)
Ta (0.6823, 0.6823, 0.0000)
Al (0.3337, 0.3337, 0.0000)

Top 10 peaks for 5° ≤ 2θ ≤ 70°, low angle first:
- 2θ = 18.0°, I = 100
- 2θ = 24.9°, I = 94
- 2θ = 32.6°, I = 48
- 2θ = 36.0°, I = 83
- 2θ = 39.2°, I = 67
- 2θ = 41.9°, I = 55
- 2θ = 43.5°, I = 44
- 2θ = 47.3°, I = 20
- 2θ = 54.7°, I = 23
- 2θ = 65.0°, I = 30

=====

(4)
For Ac5Pm6Pr2, a cell relaxed with PBE gives the theoretical X-ray diffraction stick pattern in this record (Cu Kα).
Kinematic intensities with the Lorentz-polarization factor, no thermal factor.

Structure:
a = 12.0278 Å, b = 22.2992 Å, c = 3.8079 Å
α = 90.00°, β = 90.00°, γ = 90.00°
Fractional coordinates of all 26 atoms:
Ac (0.0000, 0.0000, 0.0000)
Ac (0.0984, 0.2635, 0.0000)
Ac (0.1748, 0.5456, 0.0000)
Ac (0.3252, 0.0456, 0.0000)
Ac (0.4016, 0.7635, 0.0000)
Ac (0.5000, 0.5000, 0.0000)
Ac (0.5984, 0.2365, 0.0000)
Ac (0.6748, 0.9544, 0.0000)
Ac (0.8252, 0.4544, 0.0000)
Ac (0.9016, 0.7365, 0.0000)
Pm (0.0883, 0.4061, 0.5000)
Pm (0.0998, 0.1254, 0.5000)
Pm (0.1529, 0.8530, 0.0000)
Pm (0.3471, 0.3530, 0.0000)
Pm (0.4002, 0.6254, 0.5000)
Pm (0.4117, 0.9061, 0.5000)
Pm (0.5883, 0.0939, 0.5000)
Pm (0.5998, 0.3746, 0.5000)
Pm (0.6529, 0.6470, 0.0000)
Pm (0.8471, 0.1470, 0.0000)
Pm (0.9002, 0.8746, 0.5000)
Pm (0.9117, 0.5939, 0.5000)
Pr (0.1523, 0.7045, 0.5000)
Pr (0.3477, 0.2045, 0.5000)
Pr (0.6523, 0.7955, 0.5000)
Pr (0.8477, 0.2955, 0.5000)

Top 10 peaks for 5° ≤ 2θ ≤ 70°, low angle first:
- 2θ = 28.4°, I = 27
- 2θ = 29.0°, I = 36
- 2θ = 29.4°, I = 44
- 2θ = 30.0°, I = 36
- 2θ = 30.3°, I = 100
- 2θ = 31.8°, I = 35
- 2θ = 32.1°, I = 19
- 2θ = 34.7°, I = 28
- 2θ = 47.8°, I = 19
- 2θ = 56.8°, I = 23

=====

(5)
For Cs2Ag3Cl8, a cell relaxed with PBE gives the theoretical X-ray diffraction stick pattern in this record (Cu Kα).
Kinematic intensities with the Lorentz-polarization factor, no thermal factor.

Structure:
a = 5.0874 Å, b = 5.0874 Å, c = 15.1724 Å
α = 90.00°, β = 90.00°, γ = 90.00°
Fractional coordinates of all 13 atoms:
Cs (0.0000, 0.0000, 0.1851)
Cs (0.0000, 0.0000, 0.8149)
Ag (0.5000, 0.5000, 0.0000)
Ag (0.5000, 0.5000, 0.3496)
Ag (0.5000, 0.5000, 0.6504)
Cl (0.0000, 0.5000, 0.0000)
Cl (0.0000, 0.5000, 0.3524)
Cl (0.0000, 0.5000, 0.6476)
Cl (0.5000, 0.0000, 0.0000)
Cl (0.5000, 0.0000, 0.3524)
Cl (0.5000, 0.0000, 0.6476)
Cl (0.5000, 0.5000, 0.1640)
Cl (0.5000, 0.5000, 0.8360)

Top 10 peaks for 5° ≤ 2θ ≤ 70°, low angle first:
- 2θ = 5.8°, I = 21
- 2θ = 21.0°, I = 15
- 2θ = 24.8°, I = 100
- 2θ = 29.4°, I = 11
- 2θ = 35.3°, I = 44
- 2θ = 35.5°, I = 16
- 2θ = 43.6°, I = 31
- 2θ = 50.8°, I = 15
- 2θ = 50.9°, I = 21
- 2θ = 57.3°, I = 13

=====

(6)
For Er2Tm3Sn, a cell relaxed with PBE gives the theoretical X-ray diffraction stick pattern in this record (Cu Kα).
Kinematic intensities with the Lorentz-polarization factor, no thermal factor.

Structure:
a = 8.2846 Å, b = 3.5180 Å, c = 12.0429 Å
α = 90.00°, β = 90.07°, γ = 90.00°
Fractional coordinates of all 12 atoms:
Er (0.0802, 0.2500, 0.1104)
Er (0.3455, 0.7500, 0.5584)
Er (0.6545, 0.2500, 0.4416)
Er (0.9198, 0.7500, 0.8896)
Tm (0.0790, 0.2500, 0.3889)
Tm (0.3466, 0.7500, 0.9412)
Tm (0.3905, 0.7500, 0.2500)
Tm (0.6095, 0.2500, 0.7500)
Tm (0.6534, 0.2500, 0.0588)
Tm (0.9210, 0.7500, 0.6111)
Sn (0.1889, 0.2500, 0.7505)
Sn (0.8111, 0.7500, 0.2495)

Top 10 peaks for 5° ≤ 2θ ≤ 70°, low angle first:
- 2θ = 28.5°, I = 17
- 2θ = 31.0°, I = 97
- 2θ = 31.6°, I = 22
- 2θ = 33.3°, I = 20
- 2θ = 33.4°, I = 95
- 2θ = 33.9°, I = 100
- 2θ = 51.9°, I = 21
- 2θ = 52.0°, I = 18
- 2θ = 57.3°, I = 20
- 2θ = 61.8°, I = 28

=====

(7)
For ZrIn6P2, a cell relaxed with PBE gives the theoretical X-ray diffraction stick pattern in this record (Cu Kα).
Kinematic intensities with the Lorentz-polarization factor, no thermal factor.

Structure:
a = 6.5802 Å, b = 6.5802 Å, c = 10.6810 Å
α = 90.00°, β = 90.00°, γ = 90.00°
Fractional coordinates of all 18 atoms:
Zr (0.0000, 0.0000, 0.0000)
Zr (0.5000, 0.5000, 0.5000)
In (0.0000, 0.0000, 0.2694)
In (0.0000, 0.0000, 0.7306)
In (0.0926, 0.3032, 0.5000)
In (0.1968, 0.4074, 0.0000)
In (0.3032, 0.9074, 0.5000)
In (0.4074, 0.8032, 0.0000)
In (0.5000, 0.5000, 0.2306)
In (0.5000, 0.5000, 0.7694)
In (0.5926, 0.1968, 0.0000)
In (0.6968, 0.0926, 0.5000)
In (0.8032, 0.5926, 0.0000)
In (0.9074, 0.6968, 0.5000)
P (0.0000, 0.5000, 0.2500)
P (0.0000, 0.5000, 0.7500)
P (0.5000, 0.0000, 0.2500)
P (0.5000, 0.0000, 0.7500)

Top 10 peaks for 5° ≤ 2θ ≤ 70°, low angle first:
- 2θ = 16.6°, I = 59
- 2θ = 25.4°, I = 47
- 2θ = 27.1°, I = 46
- 2θ = 30.4°, I = 61
- 2θ = 31.5°, I = 85
- 2θ = 31.9°, I = 55
- 2θ = 33.6°, I = 100
- 2θ = 34.8°, I = 84
- 2θ = 39.7°, I = 94
- 2θ = 43.5°, I = 55

=====

(8)
For Ca2Mg2PaN4, a cell relaxed with PBE gives the theoretical X-ray diffraction stick pattern in this record (Cu Kα).
Kinematic intensities with the Lorentz-polarization factor, no thermal factor.

Structure:
a = 6.0745 Å, b = 6.0745 Å, c = 8.3241 Å
α = 122.81°, β = 122.81°, γ = 33.63°
Fractional coordinates of all 9 atoms:
Ca (0.1821, 0.1821, 0.2790)
Ca (0.8179, 0.8179, 0.7210)
Mg (0.3689, 0.3689, 0.1140)
Mg (0.6311, 0.6311, 0.8860)
Pa (0.0000, 0.0000, 0.5000)
N (0.2047, 0.2047, 0.8042)
N (0.4210, 0.4210, 0.5988)
N (0.5790, 0.5790, 0.4012)
N (0.7953, 0.7953, 0.1958)

Top 10 peaks for 5° ≤ 2θ ≤ 70°, low angle first:
- 2θ = 12.9°, I = 100
- 2θ = 15.4°, I = 64
- 2θ = 18.5°, I = 22
- 2θ = 21.7°, I = 25
- 2θ = 27.0°, I = 34
- 2θ = 28.1°, I = 26
- 2θ = 32.3°, I = 47
- 2θ = 32.5°, I = 22
- 2θ = 36.0°, I = 60
- 2θ = 40.1°, I = 23

=====

(9)
For LaPaCoCl, a cell relaxed with PBE gives the theoretical X-ray diffraction stick pattern in this record (Cu Kα).
Kinematic intensities with the Lorentz-polarization factor, no thermal factor.

Structure:
a = 15.6228 Å, b = 15.6228 Å, c = 15.6228 Å
α = 14.68°, β = 14.68°, γ = 14.68°
Fractional coordinates of all 8 atoms:
La (0.0894, 0.0894, 0.0894)
La (0.9106, 0.9106, 0.9106)
Pa (0.3099, 0.3099, 0.3099)
Pa (0.6901, 0.6901, 0.6901)
Co (0.3817, 0.3817, 0.3817)
Co (0.6183, 0.6183, 0.6183)
Cl (0.2045, 0.2045, 0.2045)
Cl (0.7955, 0.7955, 0.7955)

Top 10 peaks for 5° ≤ 2θ ≤ 70°, low angle first:
- 2θ = 5.7°, I = 100
- 2θ = 26.1°, I = 5
- 2θ = 27.5°, I = 16
- 2θ = 30.1°, I = 10
- 2θ = 32.3°, I = 21
- 2θ = 36.2°, I = 14
- 2θ = 42.2°, I = 5
- 2θ = 45.4°, I = 15
- 2θ = 45.8°, I = 5
- 2θ = 58.5°, I = 5

=====

(10)
For Pr3Sn2Hg, a cell relaxed with PBE gives the theoretical X-ray diffraction stick pattern in this record (Cu Kα).
Kinematic intensities with the Lorentz-polarization factor, no thermal factor.

Structure:
a = 12.8000 Å, b = 4.7576 Å, c = 12.1796 Å
α = 90.00°, β = 90.00°, γ = 90.00°
Fractional coordinates of all 24 atoms:
Pr (0.0426, 0.2500, 0.1235)
Pr (0.1321, 0.7500, 0.5684)
Pr (0.2062, 0.2500, 0.8118)
Pr (0.2938, 0.7500, 0.3118)
Pr (0.3679, 0.2500, 0.0684)
Pr (0.4574, 0.7500, 0.6235)
Pr (0.5426, 0.2500, 0.3765)
Pr (0.6321, 0.7500, 0.9316)
Pr (0.7062, 0.2500, 0.6882)
Pr (0.7938, 0.7500, 0.1882)
Pr (0.8679, 0.2500, 0.4316)
Pr (0.9574, 0.7500, 0.8765)
Sn (0.0096, 0.7500, 0.3205)
Sn (0.1851, 0.7500, 0.0233)
Sn (0.3149, 0.2500, 0.5233)
Sn (0.4904, 0.2500, 0.8205)
Sn (0.5096, 0.7500, 0.1795)
Sn (0.6851, 0.7500, 0.4767)
Sn (0.8149, 0.2500, 0.9767)
Sn (0.9904, 0.2500, 0.6795)
Hg (0.1446, 0.2500, 0.3558)
Hg (0.3554, 0.7500, 0.8558)
Hg (0.6446, 0.2500, 0.1442)
Hg (0.8554, 0.7500, 0.6442)

Top 10 peaks for 5° ≤ 2θ ≤ 70°, low angle first:
- 2θ = 27.6°, I = 32
- 2θ = 28.9°, I = 30
- 2θ = 30.2°, I = 27
- 2θ = 31.8°, I = 100
- 2θ = 34.6°, I = 25
- 2θ = 36.9°, I = 15
- 2θ = 37.8°, I = 55
- 2θ = 42.7°, I = 15
- 2θ = 49.1°, I = 14
- 2θ = 64.5°, I = 13

=====

(11)
For BaNaSe2O6, a cell relaxed with PBE gives the theoretical X-ray diffraction stick pattern in this record (Cu Kα).
Kinematic intensities with the Lorentz-polarization factor, no thermal factor.

Structure:
a = 7.3419 Å, b = 7.3419 Å, c = 6.6502 Å
α = 100.99°, β = 100.99°, γ = 95.71°
Fractional coordinates of all 20 atoms:
Ba (0.1763, 0.8237, 0.7500)
Ba (0.8237, 0.1763, 0.2500)
Na (0.4264, 0.5736, 0.2500)
Na (0.5736, 0.4264, 0.7500)
Se (0.0889, 0.3346, 0.8070)
Se (0.3346, 0.0889, 0.3070)
Se (0.6654, 0.9111, 0.6930)
Se (0.9111, 0.6654, 0.1930)
O (0.0829, 0.5613, 0.3219)
O (0.1319, 0.1615, 0.6159)
O (0.1615, 0.1319, 0.1159)
O (0.2830, 0.5006, 0.8801)
O (0.4387, 0.9171, 0.1781)
O (0.4994, 0.7170, 0.6199)
O (0.5006, 0.2830, 0.3801)
O (0.5613, 0.0829, 0.8219)
O (0.7170, 0.4994, 0.1199)
O (0.8385, 0.8681, 0.8841)
O (0.8681, 0.8385, 0.3841)
O (0.9171, 0.4387, 0.6781)

Top 10 peaks for 5° ≤ 2θ ≤ 70°, low angle first:
- 2θ = 12.4°, I = 33
- 2θ = 20.6°, I = 33
- 2θ = 25.9°, I = 100
- 2θ = 26.3°, I = 23
- 2θ = 28.0°, I = 55
- 2θ = 29.0°, I = 53
- 2θ = 31.2°, I = 60
- 2θ = 36.2°, I = 22
- 2θ = 36.7°, I = 43
- 2θ = 54.8°, I = 24

=====

(12)
For Ac2Np2N7, a cell relaxed with PBE gives the theoretical X-ray diffraction stick pattern in this record (Cu Kα).
Kinematic intensities with the Lorentz-polarization factor, no thermal factor.

Structure:
a = 5.4213 Å, b = 5.4213 Å, c = 5.7358 Å
α = 90.00°, β = 90.00°, γ = 97.04°
Fractional coordinates of all 11 atoms:
Ac (0.2426, 0.2426, 0.0000)
Ac (0.7574, 0.7574, 0.0000)
Np (0.2752, 0.7248, 0.5000)
Np (0.7248, 0.2752, 0.5000)
N (0.0000, 0.0000, 0.5000)
N (0.0000, 0.5000, 0.2806)
N (0.0000, 0.5000, 0.7194)
N (0.5000, 0.0000, 0.2806)
N (0.5000, 0.0000, 0.7194)
N (0.5000, 0.5000, 0.2835)
N (0.5000, 0.5000, 0.7165)

Top 10 peaks for 5° ≤ 2θ ≤ 70°, low angle first:
- 2θ = 26.9°, I = 100
- 2θ = 29.3°, I = 88
- 2θ = 31.2°, I = 32
- 2θ = 33.3°, I = 47
- 2θ = 44.6°, I = 14
- 2θ = 46.3°, I = 55
- 2θ = 50.9°, I = 12
- 2θ = 52.9°, I = 16
- 2θ = 54.3°, I = 43
- 2θ = 58.5°, I = 24